# La2Pm5Sm2
Theoretical PXRD pattern, Cu Ka. Input: a GGA-PBE-relaxed structure.
Peak positions follow from Bragg's law for the DFT cell and can differ from measured ones.

Main lines, by angle (5° ≤ 2θ ≤ 70°):
h k l  two_theta  I_rel
1 1 1  28.95  39
2 0 -3  30.35  53
3 0 0  30.73  100
1 0 3  31.68  46
2 1 -1  32.02  55
3 1 2  47.16  21
2 2 -3  59.85  15
3 2 0  60.05  15

Cell and atoms:
Cell: 8.983 3.631 9.966 Å, 90.00 103.44 90.00°
Element x y z (fractional)
La: 0.022 0.000 0.181
La: 0.978 0.000 0.819
Pm: 0.000 0.500 0.500
Pm: 0.321 0.500 0.038
Pm: 0.350 0.000 0.715
Pm: 0.650 0.000 0.285
Pm: 0.679 0.500 0.962
Sm: 0.337 0.500 0.388
Sm: 0.663 0.500 0.612

---

# UTlCuCl6
Theoretical PXRD pattern, Cu Ka. Input: a GGA-PBE-relaxed structure.
Peak positions follow from Bragg's law for the DFT cell and can differ from measured ones.

Main lines, by angle (5° ≤ 2θ ≤ 70°):
h k l  two_theta  I_rel
1 0 1  16.54  19
1 0 2  19.58  100
1 1 0  26.84  28
2 0 2  33.44  24
1 1 4  36.43  59
1 0 6  39.94  15
2 1 2  43.38  26
3 0 0  47.40  18

Cell and atoms:
Cell: 6.644 6.644 14.725 Å, 90.00 90.00 120.00°
Element x y z (fractional)
U: 0.333 0.667 0.250
U: 0.667 0.333 0.750
Tl: 0.000 0.000 0.000
Tl: 0.000 0.000 0.500
Cu: 0.333 0.667 0.750
Cu: 0.667 0.333 0.250
Cl: 0.009 0.368 0.647
Cl: 0.009 0.641 0.853
Cl: 0.359 0.368 0.853
Cl: 0.359 0.991 0.647
Cl: 0.368 0.009 0.147
Cl: 0.368 0.359 0.353
Cl: 0.632 0.641 0.647
Cl: 0.632 0.991 0.853
Cl: 0.641 0.009 0.353
Cl: 0.641 0.632 0.147
Cl: 0.991 0.359 0.147
Cl: 0.991 0.632 0.353

---

# Mg5Si9
Theoretical PXRD pattern, Cu Ka. Input: a GGA-PBE-relaxed structure.
Peak positions follow from Bragg's law for the DFT cell and can differ from measured ones.

Main lines, by angle (5° ≤ 2θ ≤ 70°):
h k l  two_theta  I_rel
2 0 2  30.12  70
1 -1 3  30.83  95
2 0 -2  35.97  65
2 2 -2  36.63  100
2 2 4  37.36  61
1 3 2  39.30  80
3 0 0  45.15  62
1 3 4  46.07  64

Cell and atoms:
Cell: 6.957 7.226 12.585 Å, 82.76 75.62 62.42°
Element x y z (fractional)
Mg: 0.000 0.000 0.000
Mg: 0.001 0.793 0.604
Mg: 0.006 0.447 0.781
Mg: 0.153 0.627 0.158
Mg: 0.158 0.030 0.430
Mg: 0.267 0.339 0.524
Mg: 0.359 0.210 0.944
Mg: 0.527 0.803 0.593
Mg: 0.657 0.463 0.415
Mg: 0.963 0.303 0.166
Si: 0.013 0.608 0.986
Si: 0.069 0.123 0.649
Si: 0.091 0.395 0.334
Si: 0.222 0.642 0.362
Si: 0.259 0.003 0.798
Si: 0.281 0.656 0.837
Si: 0.354 0.917 0.107
Si: 0.416 0.484 0.662
Si: 0.420 0.125 0.220
Si: 0.532 0.597 0.208
Si: 0.605 0.451 0.909
Si: 0.607 0.307 0.095
Si: 0.641 0.862 0.342
Si: 0.650 0.899 0.777
Si: 0.653 0.750 0.955
Si: 0.695 0.060 0.478
Si: 0.696 0.217 0.751
Si: 0.929 0.969 0.297

---

Repeat the second record exactly.
# UTlCuCl6
Theoretical PXRD pattern, Cu Ka. Input: a GGA-PBE-relaxed structure.
Peak positions follow from Bragg's law for the DFT cell and can differ from measured ones.

Main lines, by angle (5° ≤ 2θ ≤ 70°):
h k l  two_theta  I_rel
1 0 1  16.54  19
1 0 2  19.58  100
1 1 0  26.84  28
2 0 2  33.44  24
1 1 4  36.43  59
1 0 6  39.94  15
2 1 2  43.38  26
3 0 0  47.40  18

Cell and atoms:
Cell: 6.644 6.644 14.725 Å, 90.00 90.00 120.00°
Element x y z (fractional)
U: 0.333 0.667 0.250
U: 0.667 0.333 0.750
Tl: 0.000 0.000 0.000
Tl: 0.000 0.000 0.500
Cu: 0.333 0.667 0.750
Cu: 0.667 0.333 0.250
Cl: 0.009 0.368 0.647
Cl: 0.009 0.641 0.853
Cl: 0.359 0.368 0.853
Cl: 0.359 0.991 0.647
Cl: 0.368 0.009 0.147
Cl: 0.368 0.359 0.353
Cl: 0.632 0.641 0.647
Cl: 0.632 0.991 0.853
Cl: 0.641 0.009 0.353
Cl: 0.641 0.632 0.147
Cl: 0.991 0.359 0.147
Cl: 0.991 0.632 0.353

---

What is the formula in the third record?
Mg5Si9